Computed XRD peak list of HoCo5P3 for Cu Kα (weighted mean of Kα1 and Kα2), from a PBE-relaxed structure.
Peak positions follow from Bragg's law for the DFT cell and can differ from measured ones.

Most intense lines, 15 to 90 degrees two-theta, in order of falling intensity:
index  2θ (°)  Rel. int.
2 1 3  39.32  100
4 1 0  39.55  69
0 2 0  50.22  34
4 0 3  40.58  26
6 0 3  54.15  23
1 1 1  27.13  20
3 1 2  38.13  19
6 2 3  76.97  15

Cell and atoms:
a b c (Å): 11.6957 3.6337 10.2616
angles (deg): 90.00 90.00 90.00
Positions (direct):
Ho 0.2027 0.2500 0.0828
Ho 0.2973 0.7500 0.5828
Ho 0.7027 0.2500 0.4172
Ho 0.7973 0.7500 0.9172
Co 0.0089 0.7500 0.7162
Co 0.0124 0.7500 0.0930
Co 0.0685 0.7500 0.4679
Co 0.1767 0.2500 0.7788
Co 0.1985 0.2500 0.3826
Co 0.3015 0.7500 0.8826
Co 0.3233 0.7500 0.2788
Co 0.4315 0.2500 0.9679
Co 0.4876 0.2500 0.5930
Co 0.4911 0.2500 0.2162
Co 0.5089 0.7500 0.7838
Co 0.5124 0.7500 0.4070
Co 0.5685 0.7500 0.0321
Co 0.6767 0.2500 0.7212
Co 0.6985 0.2500 0.1174
Co 0.8015 0.7500 0.6174
Co 0.8233 0.7500 0.2212
Co 0.9315 0.2500 0.5321
Co 0.9876 0.2500 0.9070
Co 0.9911 0.2500 0.2838
P 0.1092 0.7500 0.8984
P 0.1121 0.2500 0.5819
P 0.1297 0.7500 0.2703
P 0.3703 0.2500 0.7703
P 0.3879 0.7500 0.0819
P 0.3908 0.2500 0.3984
P 0.6092 0.7500 0.6016
P 0.6121 0.2500 0.9181
P 0.6297 0.7500 0.2297
P 0.8703 0.2500 0.7297
P 0.8879 0.7500 0.4181
P 0.8908 0.2500 0.1016